1.
Er2PaCo3: calculated X-ray powder pattern (Cu Kα), based on a GGA-PBE-relaxed structure.
Neutral-atom scattering factors, no anomalous dispersion.

Peak list (10 most intense, 5° ≤ 2θ ≤ 70°, sorted by position)
2θ 27.67, I = 25, hkl 0 0 6
2θ 29.08, I = 62, hkl 1 1 2
2θ 31.04, I = 69, hkl 2 0 3
2θ 33.30, I = 47, hkl 1 1 4
2θ 36.18, I = 100, hkl 1 1 5
2θ 37.12, I = 38, hkl 2 1 1
2θ 48.61, I = 31, hkl 0 2 0
2θ 49.15, I = 24, hkl 3 1 1
2θ 58.80, I = 23, hkl 2 2 3
2θ 59.88, I = 22, hkl 3 1 7

```
data_Er2PaCo3
_chemical_formula_sum 'Er8 Pa4 Co12'
_cell_length_a 6.4389
_cell_length_b 3.7459
_cell_length_c 19.3431
_cell_angle_alpha 90.00
_cell_angle_beta 90.00
_cell_angle_gamma 90.00
_space_group_name_H-M_alt 'P n m a'
_space_group_IT_number 62
_space_group_name_Hall '-P 2ac 2n'
loop_
_atom_site_label
_atom_site_type_symbol
_atom_site_fract_x
_atom_site_fract_y
_atom_site_fract_z
Er1 Er 0.1265 0.2500 0.0965
Er2 Er 0.2375 0.2500 0.2793
Pa1 Pa 0.1056 0.7500 0.4273
Co1 Co 0.0474 0.7500 0.2031
Co2 Co 0.0884 0.2500 0.6680
Co3 Co 0.2281 0.7500 0.9921
```


2.
K3NaTl3Cl8: calculated X-ray powder pattern (Cu Kα), based on a GGA-PBE-relaxed structure.
Neutral-atom scattering factors, no anomalous dispersion.

Peak list (10 most intense, 5° ≤ 2θ ≤ 70°, sorted by position)
2θ 11.97, I = 38, hkl 1 1 0
2θ 12.46, I = 56, hkl 2 0 -1
2θ 14.17, I = 23, hkl 1 1 -1
2θ 23.18, I = 51, hkl 2 0 1
2θ 24.08, I = 31, hkl 2 2 0
2θ 27.98, I = 52, hkl 4 0 0
2θ 28.55, I = 100, hkl 2 2 -2
2θ 40.20, I = 37, hkl 2 2 2
2θ 40.61, I = 35, hkl 6 2 -2
2θ 49.31, I = 19, hkl 4 4 0

```
data_K3NaTl3Cl8
_chemical_formula_sum 'K6 Na2 Tl6 Cl16'
_cell_length_a 15.3067
_cell_length_b 9.0703
_cell_length_c 8.6310
_cell_angle_alpha 90.00
_cell_angle_beta 123.55
_cell_angle_gamma 90.00
_space_group_name_H-M_alt 'C 1 2/m 1'
_space_group_IT_number 12
_space_group_name_Hall '-C 2y'
loop_
_atom_site_label
_atom_site_type_symbol
_atom_site_fract_x
_atom_site_fract_y
_atom_site_fract_z
K1 K 0.0000 0.0000 0.0000
K2 K 0.2500 0.2500 0.5000
Na1 Na 0.0000 0.5000 0.0000
Tl1 Tl 0.0000 0.5000 0.5000
Tl2 Tl 0.2500 0.2500 0.0000
Cl1 Cl 0.0024 0.2840 0.2568
Cl2 Cl 0.2188 0.5000 0.2242
Cl3 Cl 0.2415 0.5000 0.7330
```